No. 1
# CsUSe2O8
Computed powder XRD pattern, a wavelength of 1.5418 Å. Input: a GGA-PBE-relaxed structure.

a = 8.887 Å, b = 10.403 Å, c = 13.721 Å
α = 90.00°, β = 129.11°, γ = 90.00°
Fractional positions:
Cs  0.071  0.051  0.214
Cs  0.071  0.449  0.714
Cs  0.929  0.551  0.286
Cs  0.929  0.949  0.786
U  0.425  0.208  0.122
U  0.425  0.292  0.622
U  0.575  0.708  0.378
U  0.575  0.792  0.878
Se  0.247  0.549  0.057
Se  0.247  0.951  0.557
Se  0.479  0.127  0.882
Se  0.479  0.373  0.382
Se  0.521  0.627  0.618
Se  0.521  0.873  0.118
Se  0.753  0.049  0.443
Se  0.753  0.451  0.943
O  0.157  0.660  0.945
O  0.157  0.840  0.445
O  0.203  0.114  0.047
O  0.203  0.386  0.547
O  0.261  0.093  0.500
O  0.261  0.407  0.000
O  0.341  0.176  0.727
O  0.341  0.324  0.227
O  0.344  0.707  0.791
O  0.344  0.793  0.291
O  0.355  0.200  0.926
O  0.355  0.300  0.426
O  0.397  0.531  0.359
O  0.397  0.969  0.859
O  0.474  0.591  0.186
O  0.474  0.909  0.686
O  0.526  0.091  0.314
O  0.526  0.409  0.814
O  0.603  0.031  0.141
O  0.603  0.469  0.641
O  0.645  0.700  0.574
O  0.645  0.800  0.074
O  0.656  0.207  0.709
O  0.656  0.293  0.209
O  0.659  0.676  0.773
O  0.659  0.824  0.273
O  0.739  0.593  0.000
O  0.739  0.907  0.500
O  0.797  0.614  0.453
O  0.797  0.886  0.953
O  0.843  0.160  0.555
O  0.843  0.340  0.055

Principal peaks in the range 10 to 90 degrees two-theta, in order of rising 2θ:
hkl 1 0 0, 2θ = 12.84°, I = 88; hkl 1 1 0, 2θ = 15.42°, I = 36; hkl 0 1 2, 2θ = 18.73°, I = 50; hkl 2 0 -2, 2θ = 19.99°, I = 45; hkl 1 2 0, 2θ = 21.40°, I = 100; hkl 2 1 -1, 2θ = 23.16°, I = 68; hkl 2 0 -4, 2θ = 26.41°, I = 34; hkl 1 0 -4, 2θ = 27.26°, I = 75; hkl 2 1 -4, 2θ = 27.81°, I = 41; hkl 1 3 -2, 2θ = 28.95°, I = 58; hkl 1 3 -3, 2θ = 32.54°, I = 34; hkl 1 4 -1, 2θ = 36.03°, I = 38



No. 2
# CsYSe2O6
Computed powder XRD pattern, a wavelength of 1.5418 Å. Input: a GGA-PBE-relaxed structure.

a = 8.975 Å, b = 8.975 Å, c = 8.975 Å
α = 90.00°, β = 90.00°, γ = 90.00°
Fractional positions:
Cs  0.000  0.000  0.000
Cs  0.000  0.500  0.500
Cs  0.500  0.000  0.500
Cs  0.500  0.500  0.000
Y  0.000  0.000  0.500
Y  0.000  0.500  0.000
Y  0.500  0.000  0.000
Y  0.500  0.500  0.500
Se  0.237  0.237  0.237
Se  0.237  0.263  0.737
Se  0.263  0.737  0.237
Se  0.263  0.763  0.737
Se  0.737  0.237  0.263
Se  0.737  0.263  0.763
Se  0.763  0.737  0.263
Se  0.763  0.763  0.763
O  0.081  0.179  0.661
O  0.081  0.321  0.161
O  0.161  0.081  0.321
O  0.161  0.419  0.821
O  0.179  0.661  0.081
O  0.179  0.839  0.581
O  0.321  0.161  0.081
O  0.321  0.339  0.581
O  0.339  0.581  0.321
O  0.339  0.919  0.821
O  0.419  0.679  0.661
O  0.419  0.821  0.161
O  0.581  0.179  0.839
O  0.581  0.321  0.339
O  0.661  0.081  0.179
O  0.661  0.419  0.679
O  0.679  0.661  0.419
O  0.679  0.839  0.919
O  0.821  0.161  0.419
O  0.821  0.339  0.919
O  0.839  0.581  0.179
O  0.839  0.919  0.679
O  0.919  0.679  0.839
O  0.919  0.821  0.339

Principal peaks in the range 10 to 90 degrees two-theta, in order of rising 2θ:
hkl 2 1 0, 2θ = 22.15°, I = 3; hkl 2 2 0, 2θ = 28.12°, I = 100; hkl 2 2 1, 2θ = 29.87°, I = 4; hkl 3 1 1, 2θ = 33.11°, I = 4; hkl 2 2 2, 2θ = 34.62°, I = 2; hkl 4 0 0, 2θ = 40.19°, I = 15; hkl 4 0 2, 2θ = 45.18°, I = 2; hkl 4 2 2, 2θ = 49.77°, I = 41; hkl 4 4 0, 2θ = 58.15°, I = 13; hkl 6 2 0, 2θ = 65.81°, I = 18; hkl 4 4 4, 2θ = 73.04°, I = 4; hkl 6 4 2, 2θ = 80.00°, I = 18



No. 3
# Cs4SiO4
Computed powder XRD pattern, a wavelength of 1.5418 Å. Input: a GGA-PBE-relaxed structure.

a = 11.625 Å, b = 7.062 Å, c = 11.351 Å
α = 90.00°, β = 111.27°, γ = 90.00°
Fractional positions:
Cs  0.065  0.092  0.200
Cs  0.065  0.408  0.700
Cs  0.150  0.619  0.085
Cs  0.150  0.881  0.585
Cs  0.370  0.666  0.895
Cs  0.370  0.834  0.395
Cs  0.415  0.175  0.788
Cs  0.415  0.325  0.288
Cs  0.585  0.675  0.712
Cs  0.585  0.825  0.212
Cs  0.630  0.166  0.605
Cs  0.630  0.334  0.105
Cs  0.850  0.119  0.415
Cs  0.850  0.381  0.915
Cs  0.935  0.592  0.300
Cs  0.935  0.908  0.800
Si  0.240  0.128  0.990
Si  0.240  0.372  0.490
Si  0.760  0.628  0.510
Si  0.760  0.872  0.010
O  0.105  0.226  0.978
O  0.105  0.274  0.478
O  0.220  0.000  0.859
O  0.220  0.500  0.359
O  0.293  0.511  0.619
O  0.293  0.989  0.119
O  0.343  0.198  0.503
O  0.343  0.302  0.003
O  0.657  0.698  0.997
O  0.657  0.802  0.497
O  0.707  0.011  0.881
O  0.707  0.489  0.381
O  0.780  0.000  0.141
O  0.780  0.500  0.641
O  0.895  0.726  0.522
O  0.895  0.774  0.022

Principal peaks in the range 10 to 90 degrees two-theta, in order of rising 2θ:
hkl 1 2 0, 2θ = 26.55°, I = 10; hkl 2 0 2, 2θ = 27.46°, I = 100; hkl 2 1 -3, 2θ = 27.73°, I = 42; hkl 1 2 1, 2θ = 28.79°, I = 80; hkl 4 0 0, 2θ = 33.07°, I = 11; hkl 4 1 -1, 2θ = 33.53°, I = 28; hkl 1 1 -4, 2θ = 34.31°, I = 52; hkl 0 1 5, 2θ = 44.72°, I = 10; hkl 2 3 -3, 2θ = 46.01°, I = 13; hkl 3 2 3, 2θ = 49.45°, I = 15; hkl 4 0 -6, 2θ = 50.52°, I = 12; hkl 5 2 -5, 2θ = 54.97°, I = 10



No. 4
# Cs4Si3O8
Computed powder XRD pattern, a wavelength of 1.5418 Å. Input: a GGA-PBE-relaxed structure.

a = 9.537 Å, b = 11.336 Å, c = 13.681 Å
α = 101.54°, β = 100.70°, γ = 114.11°
Fractional positions:
Cs  0.041  0.272  0.257
Cs  0.067  0.099  0.671
Cs  0.074  0.455  0.859
Cs  0.375  0.258  0.494
Cs  0.382  0.900  0.329
Cs  0.390  0.076  0.909
Cs  0.393  0.731  0.749
Cs  0.430  0.557  0.157
Cs  0.570  0.443  0.843
Cs  0.607  0.269  0.251
Cs  0.610  0.924  0.091
Cs  0.618  0.100  0.671
Cs  0.625  0.742  0.506
Cs  0.926  0.545  0.141
Cs  0.933  0.901  0.329
Cs  0.959  0.728  0.743
Si  0.126  0.401  0.572
Si  0.134  0.205  0.984
Si  0.182  0.049  0.143
Si  0.191  0.791  0.022
Si  0.193  0.859  0.558
Si  0.196  0.599  0.435
Si  0.804  0.401  0.565
Si  0.807  0.141  0.442
Si  0.809  0.209  0.978
Si  0.818  0.951  0.857
Si  0.866  0.795  0.016
Si  0.874  0.599  0.428
O  0.003  0.457  0.613
O  0.010  0.247  0.486
O  0.013  0.267  0.016
O  0.017  0.052  0.894
O  0.214  0.175  0.090
O  0.220  0.501  0.506
O  0.234  0.973  0.499
O  0.239  0.716  0.100
O  0.250  0.782  0.919
O  0.250  0.913  0.684
O  0.251  0.402  0.668
O  0.254  0.109  0.267
O  0.264  0.959  0.088
O  0.270  0.302  0.944
O  0.272  0.754  0.518
O  0.278  0.594  0.344
O  0.722  0.406  0.656
O  0.728  0.246  0.482
O  0.730  0.698  0.056
O  0.736  0.041  0.912
O  0.746  0.891  0.733
O  0.749  0.598  0.332
O  0.750  0.087  0.316
O  0.750  0.218  0.081
O  0.761  0.284  0.900
O  0.766  0.027  0.501
O  0.780  0.499  0.494
O  0.786  0.825  0.910
O  0.983  0.948  0.106
O  0.987  0.733  0.984
O  0.990  0.753  0.514
O  0.997  0.543  0.387

Principal peaks in the range 10 to 90 degrees two-theta, in order of rising 2θ:
hkl 0 1 3, 2θ = 25.18°, I = 37; hkl -2 1 3, 2θ = 25.44°, I = 47; hkl 2 1 -2, 2θ = 25.66°, I = 100; hkl 0 3 -1, 2θ = 25.87°, I = 37; hkl 2 -3 1, 2θ = 26.07°, I = 47; hkl 0 2 -4, 2θ = 28.23°, I = 83; hkl -2 2 3, 2θ = 28.89°, I = 20; hkl 0 3 1, 2θ = 30.11°, I = 23; hkl 2 2 1, 2θ = 37.25°, I = 17; hkl -2 4 2, 2θ = 37.45°, I = 18; hkl -4 2 1, 2θ = 37.73°, I = 23; hkl 2 3 -6, 2θ = 48.42°, I = 18



No. 5
# Cs4SiO4
Computed powder XRD pattern, a wavelength of 1.5418 Å. Input: a GGA-PBE-relaxed structure.

a = 6.993 Å, b = 19.424 Å, c = 7.093 Å
α = 90.00°, β = 113.10°, γ = 90.00°
Fractional positions:
Cs  0.162  0.077  0.206
Cs  0.162  0.423  0.706
Cs  0.179  0.213  0.660
Cs  0.179  0.287  0.160
Cs  0.291  0.014  0.734
Cs  0.291  0.486  0.234
Cs  0.324  0.692  0.322
Cs  0.324  0.808  0.822
Cs  0.676  0.192  0.178
Cs  0.676  0.308  0.678
Cs  0.709  0.514  0.766
Cs  0.709  0.986  0.266
Cs  0.821  0.713  0.840
Cs  0.821  0.787  0.340
Cs  0.838  0.577  0.294
Cs  0.838  0.923  0.794
Si  0.238  0.623  0.790
Si  0.238  0.877  0.290
Si  0.762  0.123  0.710
Si  0.762  0.377  0.210
O  0.085  0.683  0.626
O  0.085  0.817  0.126
O  0.111  0.594  0.932
O  0.111  0.906  0.432
O  0.277  0.559  0.649
O  0.277  0.941  0.149
O  0.464  0.659  0.941
O  0.464  0.841  0.441
O  0.536  0.159  0.559
O  0.536  0.341  0.059
O  0.723  0.059  0.851
O  0.723  0.441  0.351
O  0.889  0.094  0.568
O  0.889  0.406  0.068
O  0.915  0.183  0.874
O  0.915  0.317  0.374

Principal peaks in the range 10 to 90 degrees two-theta, in order of rising 2θ:
hkl 2 1 -1, 2θ = 26.04°, I = 16; hkl 1 5 0, 2θ = 26.81°, I = 23; hkl 0 0 2, 2θ = 27.34°, I = 38; hkl 1 5 -1, 2θ = 27.52°, I = 100; hkl 2 0 0, 2θ = 27.73°, I = 60; hkl 2 1 0, 2θ = 28.12°, I = 24; hkl 1 4 1, 2θ = 29.46°, I = 36; hkl 2 0 -2, 2θ = 30.43°, I = 50; hkl 1 5 1, 2θ = 32.61°, I = 44; hkl 1 5 -2, 2θ = 34.39°, I = 15; hkl 3 4 -1, 2θ = 43.13°, I = 19; hkl 3 5 -1, 2θ = 45.45°, I = 14